1.
This entry pairs a crystal structure of Rb3IrBr6O with its theoretical X-ray powder pattern. Radiation: Cu Ka. Structure: a DFT-relaxed cell (GGA-PBE, the Materials Project).

Crystal structure
```
data_Rb3IrBr6O
_cell_length_a 12.9769
_cell_length_b 7.4274
_cell_length_c 15.3827
_cell_angle_alpha 90.00
_cell_angle_beta 90.00
_cell_angle_gamma 90.00
_symmetry_space_group_name_H-M 'P n m a'
_symmetry_Int_Tables_number 62
loop_
_symmetry_equiv_pos_as_xyz
'x,y,z'
'-x,-y,-z'
'-x+1/2,-y,z+1/2'
'x+1/2,y,-z+1/2'
'x+1/2,-y+1/2,-z+1/2'
'-x+1/2,y+1/2,z+1/2'
'-x,y+1/2,-z'
'x,-y+1/2,z'
loop_
_atom_site_label
_atom_site_fract_x
_atom_site_fract_y
_atom_site_fract_z
_atom_site_occupancy
Rb1 0.0584 0.2500 0.1456 1
Rb2 0.1106 0.7500 0.5354 1
Rb3 0.1720 0.2500 0.7737 1
Ir1 0.2260 0.2500 0.4032 1
Br1 0.1034 0.0151 0.3471 1
Br2 0.1378 0.2500 0.5481 1
Br3 0.1530 0.5146 0.9586 1
Br4 0.1860 0.7500 0.7555 1
O1 0.0616 0.7500 0.1554 1
```

Peak list (12 most intense, 10 to 80 degrees two-theta, by angle)
two_theta	I (rel.)	(hkl)
13.24	326	0 1 1
13.38	799	1 0 2
13.65	252	2 0 0
14.90	404	1 1 1
21.05	176	0 1 3
24.51	216	3 1 1
30.51	460	1 2 3
32.23	1000	2 0 5
33.88	532	3 2 2
49.07	210	0 4 0
54.18	234	1 2 8
59.90	181	2 4 5

=====

2.
This entry pairs a crystal structure of PrErMn4Co13 with its theoretical X-ray powder pattern. Radiation: Cu Ka. Structure: a DFT-relaxed cell (GGA-PBE, the Materials Project).

Crystal structure
```
data_PrErMn4Co13
_cell_length_a 9.5585
_cell_length_b 8.4664
_cell_length_c 6.3438
_cell_angle_alpha 90.00
_cell_angle_beta 99.90
_cell_angle_gamma 90.00
_symmetry_space_group_name_H-M 'C 1 m 1'
_symmetry_Int_Tables_number 8
loop_
_symmetry_equiv_pos_as_xyz
'x,y,z'
'x,-y,z'
'x+1/2,y+1/2,z'
'x+1/2,-y+1/2,z'
loop_
_atom_site_label
_atom_site_fract_x
_atom_site_fract_y
_atom_site_fract_z
_atom_site_occupancy
Pr1 0.0000 0.0000 0.0000 1
Er1 0.1951 0.5000 0.3124 1
Mn1 0.0994 0.2509 0.6530 1
Mn2 0.2498 0.0000 0.7609 1
Mn3 0.4497 0.0000 0.5468 1
Co1 0.0037 0.0000 0.4988 1
Co2 0.1910 0.5000 0.8098 1
Co3 0.2062 0.1436 0.3658 1
Co4 0.2523 0.2511 0.0025 1
Co5 0.3487 0.2843 0.6533 1
Co6 0.3504 0.0000 0.1555 1
Co7 0.4443 0.2495 0.3093 1
Co8 0.4929 0.1420 0.9439 1
```

Peak list (12 most intense, 10 to 80 degrees two-theta, by angle)
two_theta	I (rel.)	(hkl)
30.33	225	3 1 0
36.87	241	1 3 1
37.17	128	2 0 2
38.20	343	4 0 0
42.72	203	0 4 0
43.11	1000	2 2 2
43.34	149	4 0 1
43.44	146	0 0 3
43.98	388	4 0 -2
44.22	137	4 2 -1
48.67	139	0 2 3
62.96	116	4 4 -2

=====

3.
This entry pairs a crystal structure of Ho3TmMn8 with its theoretical X-ray powder pattern. Radiation: Cu Ka. Structure: a DFT-relaxed cell (GGA-PBE, the Materials Project).

Crystal structure
```
data_Ho3TmMn8
_cell_length_a 8.7693
_cell_length_b 5.3455
_cell_length_c 8.3894
_cell_angle_alpha 90.00
_cell_angle_beta 93.92
_cell_angle_gamma 90.00
_symmetry_space_group_name_H-M 'C 1 m 1'
_symmetry_Int_Tables_number 8
loop_
_symmetry_equiv_pos_as_xyz
'x,y,z'
'x,-y,z'
'x+1/2,y+1/2,z'
'x+1/2,-y+1/2,z'
loop_
_atom_site_label
_atom_site_fract_x
_atom_site_fract_y
_atom_site_fract_z
_atom_site_occupancy
Ho1 0.0000 0.0000 0.0000 1
Ho2 0.0032 0.0000 0.6240 1
Ho3 0.3357 0.0000 0.4975 1
Tm1 0.3385 0.0000 0.1224 1
Mn1 0.0013 0.5000 0.8171 1
Mn2 0.0843 0.2568 0.3156 1
Mn3 0.1691 0.5000 0.0613 1
Mn4 0.1695 0.5000 0.5610 1
Mn5 0.2545 0.2563 0.8061 1
Mn6 0.3375 0.5000 0.3051 1
```

Peak list (12 most intense, 10 to 80 degrees two-theta, by angle)
two_theta	I (rel.)	(hkl)
33.53	565	0 2 0
35.05	1000	3 1 0
37.01	392	2 0 -3
37.17	783	1 1 -3
38.42	669	1 1 3
39.49	571	2 0 3
40.03	764	0 2 2
40.18	787	3 1 -2
40.63	375	2 2 -1
41.40	391	2 2 1
42.48	620	3 1 2
66.09	309	3 3 2

=====

4.
This entry pairs a crystal structure of TbGa2Ag with its theoretical X-ray powder pattern. Radiation: Cu Ka. Structure: a DFT-relaxed cell (GGA-PBE, the Materials Project).

Crystal structure
```
data_TbGa2Ag
_cell_length_a 6.9644
_cell_length_b 4.3788
_cell_length_c 10.2560
_cell_angle_alpha 90.00
_cell_angle_beta 90.00
_cell_angle_gamma 90.00
_symmetry_space_group_name_H-M 'P n m a'
_symmetry_Int_Tables_number 62
loop_
_symmetry_equiv_pos_as_xyz
'x,y,z'
'-x,-y,-z'
'-x+1/2,-y,z+1/2'
'x+1/2,y,-z+1/2'
'x+1/2,-y+1/2,-z+1/2'
'-x+1/2,y+1/2,z+1/2'
'-x,y+1/2,-z'
'x,-y+1/2,z'
loop_
_atom_site_label
_atom_site_fract_x
_atom_site_fract_y
_atom_site_fract_z
_atom_site_occupancy
Tb1 0.2201 0.2500 0.1725 1
Ga1 0.0719 0.2500 0.8471 1
Ga2 0.2040 0.7500 0.9627 1
Ag1 0.0434 0.7500 0.4023 1
```

Peak list (12 most intense, 10 to 80 degrees two-theta, by angle)
two_theta	I (rel.)	(hkl)
25.56	123	2 0 0
29.74	140	1 1 2
34.04	1000	2 1 1
35.73	953	1 1 3
37.37	435	1 0 4
39.81	126	3 0 1
41.23	456	0 2 0
42.42	158	2 1 3
42.76	257	3 0 2
56.86	171	1 2 4
60.90	176	3 2 2
71.59	123	1 3 3

=====

5.
This entry pairs a crystal structure of SmAsSe with its theoretical X-ray powder pattern. Radiation: Cu Ka. Structure: a DFT-relaxed cell (GGA-PBE, the Materials Project).

Crystal structure
```
data_SmAsSe
_cell_length_a 17.9430
_cell_length_b 3.9657
_cell_length_c 4.0165
_cell_angle_alpha 90.00
_cell_angle_beta 90.00
_cell_angle_gamma 90.00
_symmetry_space_group_name_H-M 'P n m a'
_symmetry_Int_Tables_number 62
loop_
_symmetry_equiv_pos_as_xyz
'x,y,z'
'-x,-y,-z'
'-x+1/2,-y,z+1/2'
'x+1/2,y,-z+1/2'
'x+1/2,-y+1/2,-z+1/2'
'-x+1/2,y+1/2,z+1/2'
'-x,y+1/2,-z'
'x,-y+1/2,z'
loop_
_atom_site_label
_atom_site_fract_x
_atom_site_fract_y
_atom_site_fract_z
_atom_site_occupancy
Sm1 0.1391 0.2500 0.2290 1
As1 0.0024 0.2500 0.7072 1
Se1 0.1874 0.7500 0.7309 1
```

Peak list (12 most intense, 10 to 80 degrees two-theta, by angle)
two_theta	I (rel.)	(hkl)
24.28	193	2 0 1
24.54	213	2 1 0
29.88	342	6 0 0
31.71	301	0 1 1
33.28	560	2 1 1
37.49	297	6 0 1
37.66	1000	4 1 1
45.15	201	0 0 2
45.76	219	0 2 0
60.21	123	6 1 2
60.59	145	6 2 1
66.24	127	0 2 2

=====

6.
This entry pairs a crystal structure of Sm2MgRu with its theoretical X-ray powder pattern. Radiation: Cu Ka. Structure: a DFT-relaxed cell (GGA-PBE, the Materials Project).

Crystal structure
```
data_Sm2MgRu
_cell_length_a 7.2625
_cell_length_b 7.2625
_cell_length_c 7.2625
_cell_angle_alpha 90.00
_cell_angle_beta 90.00
_cell_angle_gamma 90.00
_symmetry_space_group_name_H-M 'F m -3 m'
_symmetry_Int_Tables_number 225
_symmetry_space_group_name_Hall '-F 4 2 3'
loop_
_atom_site_label
_atom_site_fract_x
_atom_site_fract_y
_atom_site_fract_z
_atom_site_occupancy
Sm1 0.2500 0.2500 0.2500 1
Mg1 0.0000 0.0000 0.0000 1
Ru1 0.0000 0.0000 0.5000 1
```

Peak list (12 most intense, 10 to 80 degrees two-theta, by angle)
two_theta	I (rel.)	(hkl)
21.19	79	1 1 1
24.51	193	2 0 0
34.94	1000	2 2 0
41.23	41	3 1 1
43.15	59	2 2 2
50.25	177	4 0 0
55.12	17	3 3 1
56.68	81	4 2 0
62.67	363	4 2 2
66.95	13	5 1 1
73.81	112	4 4 0
79.12	39	6 0 0

=====

Question: Which formula does entry 3 have?
Answer: Ho3TmMn8

=====

Please write out number 2 again, unchanged.
This entry pairs a crystal structure of PrErMn4Co13 with its theoretical X-ray powder pattern. Radiation: Cu Ka. Structure: a DFT-relaxed cell (GGA-PBE, the Materials Project).

Crystal structure
```
data_PrErMn4Co13
_cell_length_a 9.5585
_cell_length_b 8.4664
_cell_length_c 6.3438
_cell_angle_alpha 90.00
_cell_angle_beta 99.90
_cell_angle_gamma 90.00
_symmetry_space_group_name_H-M 'C 1 m 1'
_symmetry_Int_Tables_number 8
loop_
_symmetry_equiv_pos_as_xyz
'x,y,z'
'x,-y,z'
'x+1/2,y+1/2,z'
'x+1/2,-y+1/2,z'
loop_
_atom_site_label
_atom_site_fract_x
_atom_site_fract_y
_atom_site_fract_z
_atom_site_occupancy
Pr1 0.0000 0.0000 0.0000 1
Er1 0.1951 0.5000 0.3124 1
Mn1 0.0994 0.2509 0.6530 1
Mn2 0.2498 0.0000 0.7609 1
Mn3 0.4497 0.0000 0.5468 1
Co1 0.0037 0.0000 0.4988 1
Co2 0.1910 0.5000 0.8098 1
Co3 0.2062 0.1436 0.3658 1
Co4 0.2523 0.2511 0.0025 1
Co5 0.3487 0.2843 0.6533 1
Co6 0.3504 0.0000 0.1555 1
Co7 0.4443 0.2495 0.3093 1
Co8 0.4929 0.1420 0.9439 1
```

Peak list (12 most intense, 10 to 80 degrees two-theta, by angle)
two_theta	I (rel.)	(hkl)
30.33	225	3 1 0
36.87	241	1 3 1
37.17	128	2 0 2
38.20	343	4 0 0
42.72	203	0 4 0
43.11	1000	2 2 2
43.34	149	4 0 1
43.44	146	0 0 3
43.98	388	4 0 -2
44.22	137	4 2 -1
48.67	139	0 2 3
62.96	116	4 4 -2